The following is a computed powder XRD pattern of EuAgO2. It was derived from a DFT-relaxed cell (PBE, the Materials Project), using Cu Kα (λ = 1.5418 Å).

Main lines, by angle (15° ≤ 2θ ≤ 90°):
Position (°2θ)	d/Å	intensity	(hkl)
28.7	3.114	45	0 0 2
29.0	3.077	51	2 0 0
29.9	2.992	100	1 1 -1
33.5	2.675	53	1 1 1
49.1	1.857	27	1 1 -3
49.5	1.842	42	0 2 0

Cell and atoms:
a b c (Å): 6.389 3.687 6.465
angles (deg): 90.00 105.57 90.00
Space group C2/m (No. 12)
Symmetry-distinct sites (fractional):
Eu  0.000  0.000  0.000 (multiplicity 2)
Ag  0.000  0.500  0.500 (multiplicity 2)
O  0.122  0.500  0.831 (multiplicity 4)


The following is a computed powder XRD pattern of EuAgO3. It was derived from a DFT-relaxed cell (PBE, the Materials Project), using Cu Kα (λ = 1.5418 Å).

Main lines, by angle (15° ≤ 2θ ≤ 90°):
Position (°2θ)	d/Å	intensity	(hkl)
30.9	2.892	100	1 1 0
44.3	2.045	29	2 0 0
55.0	1.669	39	2 1 1
64.4	1.446	18	2 2 0
73.2	1.293	17	3 1 0
89.7	1.093	21	3 2 1

Cell and atoms:
a b c (Å): 4.089 4.089 4.089
angles (deg): 90.00 90.00 90.00
Space group Pm-3m (No. 221)
Symmetry-distinct sites (fractional):
Eu  0.000  0.000  0.000 (multiplicity 1)
Ag  0.500  0.500  0.500 (multiplicity 1)
O  0.000  0.500  0.500 (multiplicity 3)


The following is a computed powder XRD pattern of Eu2AgPd. It was derived from a DFT-relaxed cell (PBE, the Materials Project), using Cu Kα (λ = 1.5418 Å).

Main lines, by angle (15° ≤ 2θ ≤ 90°):
Position (°2θ)	d/Å	intensity	(hkl)
24.0	3.702	3	2 0 0
34.3	2.618	100	2 2 0
49.2	1.851	18	4 0 0
61.3	1.511	36	4 2 2
72.2	1.309	11	4 4 0
82.4	1.171	16	6 2 0

Cell and atoms:
a b c (Å): 7.404 7.404 7.404
angles (deg): 90.00 90.00 90.00
Space group Fm-3m (No. 225)
Symmetry-distinct sites (fractional):
Eu  0.250  0.250  0.250 (multiplicity 8)
Ag  0.000  0.000  0.000 (multiplicity 4)
Pd  0.000  0.000  0.500 (multiplicity 4)


The following is a computed powder XRD pattern of PrEuAg2. It was derived from a DFT-relaxed cell (PBE, the Materials Project), using Cu Kα (λ = 1.5418 Å).

Main lines, by angle (15° ≤ 2θ ≤ 90°):
Position (°2θ)	d/Å	intensity	(hkl)
33.5	2.675	100	2 2 0
48.1	1.891	18	4 0 0
59.9	1.544	36	4 2 2
70.4	1.337	11	4 4 0
80.3	1.196	16	6 2 0
89.8	1.092	4	4 4 4

Cell and atoms:
a b c (Å): 7.565 7.565 7.565
angles (deg): 90.00 90.00 90.00
Space group Fm-3m (No. 225)
Symmetry-distinct sites (fractional):
Pr  0.000  0.000  0.000 (multiplicity 4)
Eu  0.000  0.000  0.500 (multiplicity 4)
Ag  0.250  0.250  0.250 (multiplicity 8)


The following is a computed powder XRD pattern of Eu2AgPt. It was derived from a DFT-relaxed cell (PBE, the Materials Project), using Cu Kα (λ = 1.5418 Å).

Main lines, by angle (15° ≤ 2θ ≤ 90°):
Position (°2θ)	d/Å	intensity	(hkl)
20.8	4.273	4	1 1 1
34.3	2.617	100	2 2 0
49.2	1.850	18	4 0 0
61.4	1.511	37	4 2 2
72.2	1.308	11	4 4 0
82.4	1.170	16	6 2 0

Cell and atoms:
a b c (Å): 7.401 7.401 7.401
angles (deg): 90.00 90.00 90.00
Space group Fm-3m (No. 225)
Symmetry-distinct sites (fractional):
Eu  0.250  0.250  0.250 (multiplicity 8)
Ag  0.000  0.000  0.000 (multiplicity 4)
Pt  0.000  0.000  0.500 (multiplicity 4)


The following is a computed powder XRD pattern of Eu2AgRh. It was derived from a DFT-relaxed cell (PBE, the Materials Project), using Cu Kα (λ = 1.5418 Å).

Main lines, by angle (15° ≤ 2θ ≤ 90°):
Position (°2θ)	d/Å	intensity	(hkl)
24.3	3.662	3	2 0 0
34.6	2.589	100	2 2 0
49.8	1.831	18	4 0 0
62.1	1.495	36	4 2 2
73.1	1.295	11	4 4 0
83.5	1.158	16	6 2 0

Cell and atoms:
a b c (Å): 7.324 7.324 7.324
angles (deg): 90.00 90.00 90.00
Space group Fm-3m (No. 225)
Symmetry-distinct sites (fractional):
Eu  0.250  0.250  0.250 (multiplicity 8)
Ag  0.000  0.000  0.000 (multiplicity 4)
Rh  0.000  0.000  0.500 (multiplicity 4)